[1]
The following is a simulated powder diffractogram of AgAs3O9. It was derived from a DFT-relaxed cell (PBE, Alexandria), using CuKα.
Peak positions follow from Bragg's law for the DFT cell and can differ from measured ones.

Main lines, by intensity (2θ from 15° to 90°):
25.11 deg, I = 100; 23.55 deg, I = 81; 34.70 deg, I = 67; 27.79 deg, I = 22; 27.46 deg, I = 22; 17.15 deg, I = 15; 55.08 deg, I = 13; 53.06 deg, I = 12

Atomic structure:
a b c (Å): 7.104 7.104 7.557
angles (deg): 90.00 90.00 93.34
Fractional coordinates of all 26 atoms:
Ag 0.199 0.199 0.000
Ag 0.801 0.801 0.500
As 0.272 0.272 0.500
As 0.279 0.695 0.963
As 0.305 0.721 0.537
As 0.695 0.279 0.037
As 0.721 0.305 0.463
As 0.728 0.728 0.000
O 0.111 0.846 0.531
O 0.146 0.236 0.688
O 0.154 0.889 0.969
O 0.157 0.497 0.036
O 0.236 0.146 0.312
O 0.269 0.509 0.417
O 0.366 0.634 0.750
O 0.490 0.731 0.083
O 0.497 0.157 0.964
O 0.503 0.843 0.464
O 0.509 0.269 0.583
O 0.634 0.366 0.250
O 0.731 0.490 0.917
O 0.764 0.854 0.812
O 0.843 0.503 0.536
O 0.846 0.111 0.469
O 0.854 0.764 0.188
O 0.889 0.154 0.031

[2]
The following is a simulated powder diffractogram of Ag2AsO4. It was derived from a DFT-relaxed cell (PBE, Alexandria), using CuKα.
Peak positions follow from Bragg's law for the DFT cell and can differ from measured ones.

Main lines, by intensity (2θ from 15° to 90°):
33.78 deg, I = 100; 29.72 deg, I = 50; 29.18 deg, I = 48; 41.29 deg, I = 41; 33.31 deg, I = 40; 54.38 deg, I = 33; 16.09 deg, I = 20; 55.39 deg, I = 19

Atomic structure:
a b c (Å): 10.761 2.957 6.084
angles (deg): 90.00 115.13 90.00
Fractional coordinates of all 14 atoms:
Ag 0.138 0.000 0.109
Ag 0.362 0.500 0.891
Ag 0.638 0.500 0.109
Ag 0.862 0.000 0.891
As 0.000 0.500 0.500
As 0.500 0.000 0.500
O 0.096 0.000 0.432
O 0.133 0.500 0.807
O 0.367 0.000 0.193
O 0.404 0.500 0.568
O 0.596 0.500 0.432
O 0.633 0.000 0.807
O 0.867 0.500 0.193
O 0.904 0.000 0.568

[3]
The following is a simulated powder diffractogram of AgAsP2O8. It was derived from a DFT-relaxed cell (PBE, Alexandria), using CuKα.
Peak positions follow from Bragg's law for the DFT cell and can differ from measured ones.

Main lines, by intensity (2θ from 15° to 90°):
26.13 deg, I = 100; 37.91 deg, I = 29; 36.66 deg, I = 19; 22.83 deg, I = 16; 44.18 deg, I = 16; 61.59 deg, I = 15; 59.86 deg, I = 13; 53.76 deg, I = 11

Atomic structure:
a b c (Å): 8.591 8.591 8.591
angles (deg): 32.08 32.08 32.08
Fractional coordinates of all 12 atoms:
Ag 0.000 0.000 0.000
As 0.500 0.500 0.500
P 0.238 0.238 0.238
P 0.762 0.762 0.762
O 0.121 0.517 0.715
O 0.285 0.483 0.879
O 0.300 0.300 0.300
O 0.483 0.879 0.285
O 0.517 0.715 0.121
O 0.700 0.700 0.700
O 0.715 0.121 0.517
O 0.879 0.285 0.483

[4]
The following is a simulated powder diffractogram of Ag2AsPdO4. It was derived from a DFT-relaxed cell (PBE, Alexandria), using CuKα.
Peak positions follow from Bragg's law for the DFT cell and can differ from measured ones.

Main lines, by intensity (2θ from 15° to 90°):
28.67 deg, I = 100; 32.51 deg, I = 97; 33.44 deg, I = 62; 32.21 deg, I = 55; 32.70 deg, I = 36; 36.03 deg, I = 35; 41.32 deg, I = 34; 18.62 deg, I = 29

Atomic structure:
a b c (Å): 5.050 5.528 5.559
angles (deg): 119.79 107.72 97.01
Fractional coordinates of all 8 atoms:
Ag 0.000 0.000 0.000
Ag 0.309 0.739 0.537
As 0.706 0.281 0.526
Pd 0.416 0.353 0.001
O 0.402 0.964 0.292
O 0.634 0.566 0.804
O 0.808 0.404 0.317
O 0.991 0.181 0.675

[5]
The following is a simulated powder diffractogram of PmAgAsO5. It was derived from a DFT-relaxed cell (PBE, Alexandria), using CuKα.
Peak positions follow from Bragg's law for the DFT cell and can differ from measured ones.

Main lines, by intensity (2θ from 15° to 90°):
29.06 deg, I = 100; 23.91 deg, I = 86; 30.96 deg, I = 84; 28.73 deg, I = 63; 35.09 deg, I = 39; 46.86 deg, I = 27; 16.90 deg, I = 26; 51.95 deg, I = 24

Atomic structure:
a b c (Å): 5.910 5.910 8.420
angles (deg): 101.23 101.23 111.78
Fractional coordinates of all 16 atoms:
Pm 0.000 0.000 0.000
Pm 0.000 0.000 0.500
Ag 0.310 0.690 0.750
Ag 0.690 0.310 0.250
As 0.310 0.690 0.250
As 0.690 0.310 0.750
O 0.046 0.655 0.326
O 0.095 0.905 0.750
O 0.259 0.441 0.085
O 0.345 0.954 0.174
O 0.441 0.259 0.585
O 0.559 0.741 0.415
O 0.655 0.046 0.826
O 0.741 0.559 0.915
O 0.905 0.095 0.250
O 0.954 0.345 0.674

[6]
The following is a simulated powder diffractogram of Rb2AgAsO4. It was derived from a DFT-relaxed cell (PBE, Alexandria), using CuKα.
Peak positions follow from Bragg's law for the DFT cell and can differ from measured ones.

Main lines, by intensity (2θ from 15° to 90°):
29.82 deg, I = 100; 17.08 deg, I = 68; 34.24 deg, I = 49; 40.47 deg, I = 31; 51.10 deg, I = 30; 27.42 deg, I = 26; 34.77 deg, I = 23; 21.27 deg, I = 22

Atomic structure:
a b c (Å): 11.990 10.790 6.655
angles (deg): 83.22 63.33 33.45
Fractional coordinates of all 16 atoms:
Rb 0.054 0.054 0.696
Rb 0.304 0.304 0.946
Rb 0.696 0.696 0.054
Rb 0.946 0.946 0.304
Ag 0.125 0.125 0.125
Ag 0.875 0.875 0.875
As 0.375 0.375 0.375
As 0.625 0.625 0.625
O 0.065 0.595 0.511
O 0.329 0.511 0.595
O 0.405 0.935 0.671
O 0.489 0.671 0.935
O 0.511 0.329 0.065
O 0.595 0.065 0.329
O 0.671 0.489 0.405
O 0.935 0.405 0.489